The following is a theoretical powder XRD pattern of Ba6Sb2PS. It was derived from DFT lattice parameters and positions (GGA-PBE), using Cu Kα (λ = 1.5418 Å).
Neutral-atom scattering factors, no anomalous dispersion.

Peak list (12 most intense, 10° ≤ 2θ ≤ 80°, sorted by position)
| two_theta | d (Å) | I_rel |
| --- | --- | --- |
| 23.83 | 3.734 | 35 |
| 24.34 | 3.658 | 33 |
| 24.83 | 3.586 | 56 |
| 25.31 | 3.519 | 66 |
| 25.51 | 3.492 | 68 |
| 26.97 | 3.306 | 23 |
| 27.22 | 3.276 | 100 |
| 30.17 | 2.962 | 22 |
| 32.63 | 2.744 | 35 |
| 38.39 | 2.345 | 36 |
| 41.48 | 2.177 | 26 |
| 46.34 | 1.959 | 26 |

Cell: 7.997 9.049 14.207 Å, 90.00 124.16 90.00°
Atoms (fractional coordinates):
Ba1 0.116 0.188 0.435
Ba2 0.116 0.312 0.935
Ba3 0.258 0.694 0.437
Ba4 0.258 0.806 0.937
Ba5 0.379 0.047 0.251
Ba6 0.379 0.453 0.751
Ba7 0.621 0.547 0.249
Ba8 0.621 0.953 0.749
Ba9 0.742 0.194 0.063
Ba10 0.742 0.306 0.563
Ba11 0.884 0.688 0.065
Ba12 0.884 0.812 0.565
Sb1 0.209 0.095 0.752
Sb2 0.209 0.405 0.252
Sb3 0.791 0.595 0.748
Sb4 0.791 0.905 0.248
P1 0.500 0.000 0.500
P2 0.500 0.500 0.000
S1 0.000 0.000 0.000
S2 0.000 0.500 0.500

The following is a theoretical powder XRD pattern of BaP2SeS8. It was derived from DFT lattice parameters and positions (GGA-PBE), using Cu Kα (λ = 1.5418 Å).
Neutral-atom scattering factors, no anomalous dispersion.

Peak list (12 most intense, 10° ≤ 2θ ≤ 80°, sorted by position)
| two_theta | d (Å) | I_rel |
| --- | --- | --- |
| 18.35 | 4.836 | 20 |
| 21.59 | 4.115 | 100 |
| 29.62 | 3.016 | 23 |
| 29.90 | 2.988 | 39 |
| 31.53 | 2.837 | 84 |
| 36.02 | 2.493 | 71 |
| 37.19 | 2.418 | 27 |
| 48.43 | 1.880 | 24 |
| 50.61 | 1.804 | 40 |
| 53.09 | 1.725 | 34 |
| 61.97 | 1.497 | 14 |
| 65.83 | 1.419 | 18 |

Cell: 9.684 9.684 9.684 Å, 35.94 35.94 35.94°
Atoms (fractional coordinates):
Ba1 0.000 0.000 0.000
P1 0.246 0.246 0.246
P2 0.754 0.754 0.754
Se1 0.500 0.500 0.500
S1 0.101 0.435 0.792
S2 0.208 0.899 0.565
S3 0.320 0.320 0.320
S4 0.435 0.792 0.101
S5 0.565 0.208 0.899
S6 0.680 0.680 0.680
S7 0.792 0.101 0.435
S8 0.899 0.565 0.208